[1]
Starting from the PBE geometry in Alexandria, the XRD peak list of Dy6HPd2 was calculated for CuKα.

Largest 10 diffraction maxima, by intensity, 15° ≤ 2θ ≤ 90°:
| d (Å) | Rel. int. | hkl |
| --- | --- | --- |
| 2.795 | 100 | 2 1 -1 |
| 2.912 | 84 | 1 0 2 |
| 2.842 | 76 | 0 2 2 |
| 2.682 | 75 | 1 1 -4 |
| 2.599 | 71 | 1 2 1 |
| 2.928 | 53 | 1 2 0 |
| 2.504 | 47 | 2 1 -4 |
| 2.901 | 45 | 1 0 -4 |
| 2.382 | 39 | 0 2 3 |
| 1.632 | 37 | 2 3 -5 |

Crystal structure
a = 6.419 Å, b = 6.989 Å, c = 11.674 Å
α = 90.00°, β = 123.19°, γ = 90.00°
Space group P2_1/c (No. 14)
One atom of each set of equivalent atoms:
Dy1 0.110 0.024 0.250 x4
Dy2 0.233 0.678 0.061 x4
Dy3 0.388 0.179 0.059 x4
H1 0.000 0.000 0.000 x2
Pd1 0.316 0.114 0.749 x4


[2]
Starting from the PBE geometry in Alexandria, the XRD peak list of Pr2Nd2Ho7 was calculated for CuKα.

Largest 10 diffraction maxima, by intensity, 15° ≤ 2θ ≤ 90°:
| d (Å) | Rel. int. | hkl |
| --- | --- | --- |
| 2.824 | 100 | 2 2 1 |
| 2.842 | 82 | 2 2 -2 |
| 2.786 | 52 | 0 2 2 |
| 2.801 | 49 | 0 4 0 |
| 3.042 | 48 | 3 1 0 |
| 2.414 | 44 | 2 4 -1 |
| 2.766 | 40 | 3 1 -2 |
| 2.560 | 26 | 4 0 -1 |
| 3.303 | 24 | 2 0 -2 |
| 1.614 | 21 | 0 6 2 |

Crystal structure
a = 10.239 Å, b = 11.203 Å, c = 6.935 Å
α = 90.00°, β = 112.17°, γ = 90.00°
Space group C2/m (No. 12)
One atom of each set of equivalent atoms:
Pr1 0.000 0.167 0.000 x4
Nd1 0.131 0.500 0.419 x4
Ho1 0.000 0.000 0.500 x2
Ho2 0.171 0.247 0.687 x8
Ho3 0.191 0.500 0.984 x4


[3]
Starting from the PBE geometry in Alexandria, the XRD peak list of Y4CoBi was calculated for CuKα.

Largest 10 diffraction maxima, by intensity, 15° ≤ 2θ ≤ 90°:
| d (Å) | Rel. int. | hkl |
| --- | --- | --- |
| 2.634 | 100 | 2 2 1 |
| 2.883 | 79 | 3 1 -1 |
| 2.957 | 61 | 1 1 -2 |
| 2.500 | 46 | 1 3 -2 |
| 5.284 | 35 | 1 1 -1 |
| 3.310 | 34 | 0 4 0 |
| 2.455 | 33 | 3 3 -1 |
| 4.292 | 30 | 0 2 1 |
| 2.406 | 27 | 1 5 -1 |
| 2.523 | 27 | 1 5 0 |

Crystal structure
a = 8.935 Å, b = 13.240 Å, c = 6.072 Å
α = 90.00°, β = 111.80°, γ = 90.00°
Space group C2/c (No. 15)
One atom of each set of equivalent atoms:
Y1 0.107 0.163 0.061 x8
Y2 0.221 0.424 0.361 x8
Co1 0.000 0.000 0.250 x4
Bi1 0.000 0.373 0.750 x4


[4]
Starting from the PBE geometry in Alexandria, the XRD peak list of Tb7Pm4Dy was calculated for CuKα.

Largest 10 diffraction maxima, by intensity, 15° ≤ 2θ ≤ 90°:
| d (Å) | Rel. int. | hkl |
| --- | --- | --- |
| 2.807 | 100 | 2 0 -1 |
| 2.852 | 82 | 1 -2 0 |
| 2.840 | 79 | 1 2 -1 |
| 2.892 | 59 | 2 0 2 |
| 2.966 | 55 | 0 0 3 |
| 2.779 | 53 | 1 2 2 |
| 1.624 | 29 | 3 2 -2 |
| 2.767 | 29 | 0 1 3 |
| 1.949 | 20 | 3 2 1 |
| 1.709 | 19 | 2 1 5 |

Crystal structure
a = 6.558 Å, b = 6.853 Å, c = 9.134 Å
α = 85.58°, β = 77.23°, γ = 82.28°
Space group P-1 (No. 2)
One atom of each set of equivalent atoms:
Tb1 0.000 0.000 0.000 x1
Tb2 0.190 0.605 0.385 x2
Tb3 0.317 0.198 0.640 x2
Tb4 0.488 0.748 0.052 x2
Pm1 0.160 0.115 0.308 x2
Pm2 0.361 0.691 0.718 x2
Dy1 0.000 0.500 0.000 x1


[5]
Starting from the PBE geometry in Alexandria, the XRD peak list of ZrSbS was calculated for CuKα.

Largest 10 diffraction maxima, by intensity, 15° ≤ 2θ ≤ 90°:
| d (Å) | Rel. int. | hkl |
| --- | --- | --- |
| 2.952 | 100 | 0 1 2 |
| 2.469 | 78 | 2 0 -4 |
| 2.608 | 76 | 2 1 0 |
| 2.399 | 61 | 3 0 0 |
| 2.138 | 55 | 3 1 -2 |
| 1.855 | 51 | 0 2 1 |
| 4.716 | 47 | 0 0 2 |
| 2.721 | 43 | 2 1 -1 |
| 2.358 | 42 | 0 0 4 |
| 2.418 | 42 | 0 1 3 |

Crystal structure
a = 7.832 Å, b = 3.784 Å, c = 10.265 Å
α = 90.00°, β = 113.24°, γ = 90.00°
Space group P2_1/c (No. 14)
One atom of each set of equivalent atoms:
Zr1 0.158 0.159 0.170 x4
Sb1 0.467 0.648 0.353 x4
S1 0.092 0.167 0.403 x4


[6]
Starting from the PBE geometry in Alexandria, the XRD peak list of BaZnC was calculated for CuKα.

Largest 10 diffraction maxima, by intensity, 15° ≤ 2θ ≤ 90°:
| d (Å) | Rel. int. | hkl |
| --- | --- | --- |
| 3.062 | 100 | 1 1 0 |
| 2.758 | 42 | 0 2 -1 |
| 2.135 | 41 | 1 0 -3 |
| 3.390 | 39 | 0 1 1 |
| 3.165 | 38 | 0 1 -2 |
| 2.955 | 37 | 1 -1 1 |
| 2.939 | 37 | 1 1 -2 |
| 4.158 | 27 | 1 0 -1 |
| 2.212 | 26 | 2 0 -1 |
| 1.742 | 20 | -1 2 2 |

Crystal structure
a = 4.424 Å, b = 5.530 Å, c = 6.881 Å
α = 109.66°, β = 108.51°, γ = 90.32°
Space group P-1 (No. 2)
One atom of each set of equivalent atoms:
Ba1 0.111 0.350 0.216 x2
Zn1 0.305 0.059 0.611 x2
C1 0.455 0.024 0.910 x2


[7]
Starting from the PBE geometry in Alexandria, the XRD peak list of LiMn2S4 was calculated for CuKα.

Largest 10 diffraction maxima, by intensity, 15° ≤ 2θ ≤ 90°:
| d (Å) | Rel. int. | hkl |
| --- | --- | --- |
| 5.691 | 100 | 1 1 1 |
| 2.464 | 97 | 4 0 0 |
| 1.743 | 64 | 4 4 0 |
| 2.972 | 37 | 3 1 1 |
| 1.897 | 27 | 5 1 1 |
| 1.102 | 22 | 8 4 0 |
| 1.423 | 18 | 4 4 4 |
| 1.666 | 17 | 5 3 1 |
| 1.380 | 11 | 5 5 1 |
| 1.232 | 9 | 8 0 0 |

Crystal structure
a = 9.857 Å, b = 9.857 Å, c = 9.857 Å
α = 90.00°, β = 90.00°, γ = 90.00°
Space group Fd-3m (No. 227, origin choice 2)
One atom of each set of equivalent atoms:
Li1 0.125 0.125 0.125 x8
Mn1 0.000 0.000 0.500 x16
S1 0.012 0.012 0.738 x32


[8]
Starting from the PBE geometry in Alexandria, the XRD peak list of Ho3Ga2Hg2 was calculated for CuKα.

Largest 10 diffraction maxima, by intensity, 15° ≤ 2θ ≤ 90°:
| d (Å) | Rel. int. | hkl |
| --- | --- | --- |
| 2.689 | 100 | 1 1 1 |
| 2.545 | 82 | 0 6 1 |
| 2.510 | 63 | 1 7 0 |
| 1.619 | 38 | 2 6 1 |
| 3.032 | 34 | 1 5 0 |
| 2.099 | 26 | 2 0 0 |
| 1.449 | 23 | 1 7 2 |
| 1.432 | 23 | 1 13 1 |
| 1.774 | 16 | 0 0 2 |
| 1.355 | 13 | 2 0 2 |

Crystal structure
a = 4.197 Å, b = 21.918 Å, c = 3.548 Å
α = 90.00°, β = 90.00°, γ = 90.00°
Space group Cmmm (No. 65)
One atom of each set of equivalent atoms:
Ho1 0.000 0.000 0.000 x2
Ho2 0.000 0.164 0.000 x4
Ga1 0.000 0.282 0.500 x4
Hg1 0.000 0.421 0.500 x4


[9]
Starting from the PBE geometry in Alexandria, the XRD peak list of U2Si2Ir was calculated for CuKα.

Largest 10 diffraction maxima, by intensity, 15° ≤ 2θ ≤ 90°:
| d (Å) | Rel. int. | hkl |
| --- | --- | --- |
| 2.606 | 100 | 0 2 1 |
| 2.560 | 40 | 2 0 2 |
| 2.289 | 40 | 3 1 -2 |
| 2.190 | 33 | 2 2 1 |
| 3.536 | 27 | 0 0 2 |
| 4.466 | 20 | 2 0 0 |
| 2.630 | 18 | 3 1 0 |
| 2.196 | 18 | 1 1 -3 |
| 1.600 | 16 | 2 2 3 |
| 1.711 | 15 | 1 1 -4 |

Crystal structure
a = 9.076 Å, b = 5.610 Å, c = 7.187 Å
α = 90.00°, β = 100.21°, γ = 90.00°
Space group C2/c (No. 15)
One atom of each set of equivalent atoms:
U1 0.117 0.105 0.163 x8
Si1 0.147 0.398 0.502 x8
Ir1 0.000 0.359 0.750 x4


[10]
Starting from the PBE geometry in Alexandria, the XRD peak list of CaLaAg was calculated for CuKα.

Largest 10 diffraction maxima, by intensity, 15° ≤ 2θ ≤ 90°:
| d (Å) | Rel. int. | hkl |
| --- | --- | --- |
| 2.618 | 100 | 2 2 0 |
| 4.275 | 59 | 1 1 1 |
| 1.511 | 35 | 4 2 2 |
| 2.233 | 32 | 3 1 1 |
| 1.851 | 17 | 4 0 0 |
| 1.171 | 15 | 6 2 0 |
| 1.699 | 14 | 3 3 1 |
| 1.309 | 11 | 4 4 0 |
| 1.425 | 10 | 5 1 1 |
| 1.252 | 10 | 5 3 1 |

Crystal structure
a = 7.404 Å, b = 7.404 Å, c = 7.404 Å
α = 90.00°, β = 90.00°, γ = 90.00°
Space group F-43m (No. 216)
One atom of each set of equivalent atoms:
Ca1 0.000 0.000 0.000 x4
La1 0.000 0.000 0.500 x4
Ag1 0.250 0.250 0.750 x4